Diffraction record for Pr5Si5Tc2. The powder diffraction line list is theoretical, not measured: it uses DFT lattice parameters and positions (PBE) and a wavelength of 1.5418 Å.

Structural model:
a b c (Å): 6.705 6.705 10.229
angles (deg): 96.65 96.65 37.99
Atoms (fractional coordinates):
Pr (0.000, 0.000, 0.000)
Pr (0.149, 0.149, 0.595)
Pr (0.279, 0.279, 0.895)
Pr (0.721, 0.721, 0.105)
Pr (0.851, 0.851, 0.405)
Si (0.148, 0.148, 0.285)
Si (0.402, 0.402, 0.177)
Si (0.500, 0.500, 0.500)
Si (0.598, 0.598, 0.823)
Si (0.852, 0.852, 0.715)
Tc (0.426, 0.426, 0.692)
Tc (0.574, 0.574, 0.308)

Largest 8 diffraction maxima, most intense first, 15° ≤ 2θ ≤ 90°:
- 31.57°, d 2.834, rel. 100
- 33.11°, d 2.705, rel. 65
- 36.52°, d 2.461, rel. 62
- 30.08°, d 2.971, rel. 62
- 34.97°, d 2.566, rel. 58
- 41.38°, d 2.182, rel. 56
- 23.61°, d 3.768, rel. 47
- 35.36°, d 2.539, rel. 43